Entry 1:
Structure and calculated powder diffraction line list of Dy3IrPt2 (a crystal structure in Alexandria, relaxed with PBE; Cu Kα X-rays).
Intensities are scaled so that the largest is 100.

Main lines, in order of rising 2θ (2θ from 15° to 90°):
- 36.5°, intensity 51
- 36.7°, intensity 100
- 52.6°, intensity 18
- 53.1°, intensity 9
- 65.8°, intensity 37
- 66.1°, intensity 18
- 78.0°, intensity 11
- 88.9°, intensity 9
- 89.0°, intensity 9
- 89.8°, intensity 8

Atomic structure:
a b c (Å): 4.919 14.770 6.903
angles (deg): 90.00 90.00 90.00
Space group Cmmm (No. 65)
Symmetry-distinct sites (fractional):
1 Dy 0.000 0.000 0.247 (multiplicity 4)
2 Dy 0.000 0.332 0.246 (multiplicity 8)
3 Ir 0.000 0.167 0.000 (multiplicity 4)
4 Pt 0.000 0.166 0.500 (multiplicity 4)
5 Pt 0.000 0.500 0.000 (multiplicity 2)
6 Pt 0.000 0.500 0.500 (multiplicity 2)

Entry 2:
Structure and calculated powder diffraction line list of InGePdS2 (a crystal structure in Alexandria, relaxed with PBE; Cu Kα X-rays).
Intensities are scaled so that the largest is 100.

Main lines, in order of rising 2θ (2θ from 15° to 90°):
- 17.7°, intensity 66
- 25.1°, intensity 85
- 30.9°, intensity 27
- 35.8°, intensity 100
- 40.2°, intensity 32
- 44.2°, intensity 38
- 51.5°, intensity 68
- 64.3°, intensity 23
- 70.2°, intensity 19
- 86.8°, intensity 30

Atomic structure:
a b c (Å): 5.020 5.020 5.015
angles (deg): 90.00 90.00 90.00
Space group P4/mmm (No. 123)
Symmetry-distinct sites (fractional):
1 In 0.000 0.000 0.000 (multiplicity 1)
2 Ge 0.500 0.500 0.500 (multiplicity 1)
3 Pd 0.000 0.000 0.500 (multiplicity 1)
4 S 0.000 0.500 0.000 (multiplicity 2)

Entry 3:
Structure and calculated powder diffraction line list of PAuI4 (a crystal structure in Alexandria, relaxed with PBE; Cu Kα X-rays).
Intensities are scaled so that the largest is 100.

Main lines, in order of rising 2θ (2θ from 15° to 90°):
- 15.8°, intensity 38
- 23.7°, intensity 100
- 25.3°, intensity 27
- 26.3°, intensity 33
- 30.8°, intensity 16
- 33.9°, intensity 13
- 35.8°, intensity 27
- 38.4°, intensity 18
- 40.1°, intensity 13
- 47.0°, intensity 17

Atomic structure:
a b c (Å): 8.334 22.505 8.038
angles (deg): 90.00 112.04 90.00
Space group C2/c (No. 15)
Symmetry-distinct sites (fractional):
1 P 0.000 0.123 0.250 (multiplicity 4)
2 Au 0.000 0.348 0.750 (multiplicity 4)
3 I 0.187 0.149 0.018 (multiplicity 8)
4 I 0.213 0.056 0.464 (multiplicity 8)

Entry 4:
Structure and calculated powder diffraction line list of Ce8Al3 (a crystal structure in Alexandria, relaxed with PBE; Cu Kα X-rays).
Intensities are scaled so that the largest is 100.

Main lines, in order of rising 2θ (2θ from 15° to 90°):
- 19.1°, intensity 22
- 30.2°, intensity 39
- 34.3°, intensity 100
- 35.0°, intensity 50
- 35.6°, intensity 31
- 36.6°, intensity 49
- 46.9°, intensity 23
- 48.1°, intensity 34
- 50.8°, intensity 23
- 73.2°, intensity 22

Atomic structure:
a b c (Å): 2.973 5.122 33.470
angles (deg): 90.00 90.00 90.00
Space group Immm (No. 71)
Symmetry-distinct sites (fractional):
1 Ce 0.000 0.000 0.045 (multiplicity 4)
2 Ce 0.000 0.000 0.221 (multiplicity 4)
3 Ce 0.000 0.500 0.088 (multiplicity 4)
4 Ce 0.000 0.500 0.180 (multiplicity 4)
5 Al 0.000 0.000 0.500 (multiplicity 2)
6 Al 0.000 0.500 0.367 (multiplicity 4)